(1)
Structure and calculated X-ray powder pattern of Ba3HgPd (a GGA-PBE-relaxed structure; Cu Kα X-rays).
Neutral-atom scattering factors, no anomalous dispersion.

Top 10 peaks for 2θ from 10° to 90°, by angle:
Position (°2θ)  d [Å]  I/Imax
20.28  4.380  29.3
24.90  3.576  91.4
28.83  3.097  100.0
35.50  2.529  14.7
41.22  2.190  75.9
48.76  1.868  44.8
51.08  1.788  27.1
65.71  1.421  18.6
67.65  1.385  35.2
75.14  1.264  26.2

Structural model:
```
5
Lattice="6.1938 0.0000 0.0000 0.0000 6.1938 0.0000 0.0000 0.0000 6.1938" Properties=species:S:1:pos:R:3 pbc="T T T"
Ba 0.0000 0.0000 3.0969
Ba 0.0000 3.0969 0.0000
Ba 3.0969 0.0000 0.0000
Hg 3.0969 3.0969 3.0969
Pd 0.0000 0.0000 0.0000
```

---

(2)
Structure and calculated X-ray powder pattern of Rb2NpPdSe4 (a GGA-PBE-relaxed structure; Cu Kα X-rays).
Neutral-atom scattering factors, no anomalous dispersion.

Top 10 peaks for 2θ from 10° to 90°, by angle:
Position (°2θ)  d [Å]  I/Imax
13.69  6.468  88.5
14.48  6.115  100.0
22.47  3.956  31.2
24.76  3.595  86.7
28.79  3.101  60.2
29.78  3.000  38.2
35.23  2.548  34.4
37.00  2.429  45.8
45.24  2.004  29.6
47.74  1.905  28.6

Structural model:
```
16
Lattice="0.0000 7.6215 12.2302 3.2633 0.0000 12.2302 3.2633 7.6215 0.0000" Properties=species:S:1:pos:R:3 pbc="T T T"
Rb 2.4475 5.7161 1.3707
Rb 4.0792 9.5269 7.4858
Rb 2.4475 5.7161 16.9745
Rb 4.0792 9.5269 23.0896
Np 0.8158 1.9054 3.0575
Np 5.7108 13.3376 21.4028
Pd 2.4475 5.7161 9.1726
Pd 4.0792 9.5269 15.2877
Se 2.5624 3.5774 4.1808
Se 3.9643 7.3882 10.2959
Se 2.3326 7.8548 4.1808
Se 2.3326 3.5774 14.1644
Se 4.1940 11.6656 10.2959
Se 4.1940 7.3882 20.2795
Se 2.5624 7.8548 14.1644
Se 3.9643 11.6656 20.2795
```

---

(3)
Structure and calculated X-ray powder pattern of La3Ni3Sb4 (a GGA-PBE-relaxed structure; Cu Kα X-rays).
Neutral-atom scattering factors, no anomalous dispersion.

Top 10 peaks for 2θ from 10° to 90°, by angle:
Position (°2θ)  d [Å]  I/Imax
28.87  3.093  59.6
34.31  2.614  100.0
41.28  2.187  33.8
43.40  2.085  12.8
45.43  1.996  17.8
47.40  1.918  15.5
58.15  1.586  18.8
59.81  1.546  15.1
61.44  1.509  9.9
70.80  1.331  16.3

Structural model:
```
20
Lattice="-4.8898 4.8898 4.8898 4.8898 -4.8898 4.8898 4.8898 4.8898 -4.8898" Properties=species:S:1:pos:R:3 pbc="T T T"
La 7.3348 1.2225 0.0000
La 3.6674 0.0000 2.4449
La 2.4449 3.6674 0.0000
La 0.0000 2.4449 3.6674
La 1.2225 0.0000 7.3348
La 0.0000 7.3348 1.2225
Ni 4.8898 -2.4449 3.6674
Ni 3.6674 4.8898 -2.4449
Ni 4.8898 2.4449 1.2225
Ni 2.4449 1.2225 4.8898
Ni 1.2225 4.8898 2.4449
Ni -2.4449 3.6674 4.8898
Sb 4.1528 0.7371 -0.7371
Sb 6.5977 -1.7079 1.7079
Sb 0.7371 0.7371 0.7371
Sb 0.7371 -0.7371 4.1528
Sb -0.7371 4.1528 0.7371
Sb 1.7079 6.5977 -1.7079
Sb 3.1820 3.1820 3.1820
Sb -1.7079 1.7079 6.5977
```

---

(4)
Structure and calculated X-ray powder pattern of Ba4AlZn (a GGA-PBE-relaxed structure; Cu Kα X-rays).
Neutral-atom scattering factors, no anomalous dispersion.

Top 10 peaks for 2θ from 10° to 90°, by angle:
Position (°2θ)  d [Å]  I/Imax
22.00  4.040  51.2
23.34  3.812  28.5
27.59  3.233  100.0
30.16  2.963  64.6
36.44  2.466  37.8
38.48  2.339  30.8
43.18  2.095  23.8
52.01  1.758  33.7
57.50  1.603  19.9
57.75  1.597  19.5

Structural model:
```
6
Lattice="4.1901 0.0000 0.0000 0.0000 4.1901 0.0000 0.0000 0.0000 15.2466" Properties=species:S:1:pos:R:3 pbc="T T T"
Ba 0.0000 0.0000 1.9350
Ba 0.0000 0.0000 13.3117
Ba 2.0951 2.0951 5.6620
Ba 2.0951 2.0951 9.5847
Al 0.0000 0.0000 7.6233
Zn 2.0951 2.0951 0.0000
```